Calculated powder diffractogram
Compound: SmCuSi2Ir
Radiation: Cu Ka
Structure: DFT lattice parameters and positions (GGA-PBE)

Peak list (10 most intense, 10° ≤ 2θ ≤ 80°, in order of rising 2θ)
hkl 1 0 1, 3.783 Å, 23.52 deg, I 44; hkl 1 0 3, 2.589 Å, 34.65 deg, I 32; hkl 0 0 4, 2.510 Å, 35.77 deg, I 18; hkl 1 1 2, 2.503 Å, 35.87 deg, I 100; hkl 2 0 0, 2.042 Å, 44.36 deg, I 35; hkl 2 1 1, 1.797 Å, 50.81 deg, I 12; hkl 2 1 3, 1.603 Å, 57.48 deg, I 15; hkl 2 0 4, 1.584 Å, 58.24 deg, I 18; hkl 1 1 6, 1.448 Å, 64.34 deg, I 17; hkl 3 1 2, 1.251 Å, 76.09 deg, I 30

Cell and atoms:
a b c (Å): 4.0839 4.0839 10.0417
angles (deg): 90.00 90.00 90.00
Positions (direct):
Sm1 0.0000 0.0000 0.0000
Sm2 0.5000 0.5000 0.5000
Cu1 0.0000 0.5000 0.7500
Cu2 0.5000 0.0000 0.2500
Si1 0.0000 0.0000 0.3795
Si2 0.0000 0.0000 0.6205
Si3 0.5000 0.5000 0.1205
Si4 0.5000 0.5000 0.8795
Ir1 0.0000 0.5000 0.2500
Ir2 0.5000 0.0000 0.7500